# 1
This entry pairs a crystal structure of Er2Cu3Si with its simulated powder diffractogram. Radiation: λ = 1.5418 Å (Cu Kα). Structure: a cell relaxed with PBE.

Largest 12 diffraction maxima, by angle, 5 to 70 degrees two-theta:
24.34°, I = 15
24.76°, I = 28
35.15°, I = 50
35.45°, I = 100
43.09°, I = 45
43.86°, I = 22
51.22°, I = 14
56.56°, I = 13
57.41°, I = 24
57.71°, I = 6
69.11°, I = 21
69.68°, I = 11

Cell and atoms:
```
data_Er2Cu3Si
_cell_length_a 4.128
_cell_length_b 3.566
_cell_length_c 7.314
_cell_angle_alpha 90.00
_cell_angle_beta 90.08
_cell_angle_gamma 90.00
_symmetry_space_group_name_H-M 'P 1 m 1'
_symmetry_Int_Tables_number 6
loop_
_symmetry_equiv_pos_as_xyz
'x,y,z'
'x,-y,z'
loop_
_atom_site_label
_atom_site_fract_x
_atom_site_fract_y
_atom_site_fract_z
_atom_site_occupancy
Er1 0.000 0.000 0.000 1
Er2 0.500 0.000 0.497 1
Cu1 0.000 0.500 0.339 1
Cu2 0.500 0.500 0.161 1
Cu3 0.500 0.500 0.824 1
Si1 0.000 0.500 0.666 1
```

---

# 2
This entry pairs a crystal structure of Cd4GeSe6 with its simulated powder diffractogram. Radiation: λ = 1.5418 Å (Cu Kα). Structure: a cell relaxed with PBE.

Largest 12 diffraction maxima, by angle, 5 to 70 degrees two-theta:
23.38°, I = 44
24.46°, I = 100
27.48°, I = 87
27.58°, I = 42
28.74°, I = 100
28.85°, I = 36
29.66°, I = 35
41.06°, I = 53
43.60°, I = 55
43.68°, I = 46
43.81°, I = 40
47.82°, I = 44

Cell and atoms:
```
data_Cd4GeSe6
_cell_length_a 13.165
_cell_length_b 7.613
_cell_length_c 13.187
_cell_angle_alpha 90.00
_cell_angle_beta 109.89
_cell_angle_gamma 90.00
_symmetry_space_group_name_H-M 'C 1 c 1'
_symmetry_Int_Tables_number 9
loop_
_symmetry_equiv_pos_as_xyz
'x,y,z'
'x,-y,z+1/2'
'x+1/2,y+1/2,z'
'x+1/2,-y+1/2,z+1/2'
loop_
_atom_site_label
_atom_site_fract_x
_atom_site_fract_y
_atom_site_fract_z
_atom_site_occupancy
Cd1 0.000 0.073 0.000 1
Cd2 0.157 0.394 0.495 1
Cd3 0.180 0.106 0.807 1
Cd4 0.365 0.205 0.157 1
Ge1 0.431 0.271 0.744 1
Se1 0.051 0.227 0.614 1
Se2 0.121 0.242 0.298 1
Se3 0.176 0.253 0.992 1
Se4 0.356 0.227 0.555 1
Se5 0.356 0.479 0.297 1
Se6 0.385 0.016 0.825 1
```

---

# 3
This entry pairs a crystal structure of Te3MoWS with its simulated powder diffractogram. Radiation: λ = 1.5418 Å (Cu Kα). Structure: a cell relaxed with PBE.

Largest 12 diffraction maxima, by angle, 5 to 70 degrees two-theta:
6.72°, I = 22
11.22°, I = 95
13.47°, I = 13
29.91°, I = 57
32.01°, I = 15
33.94°, I = 12
35.10°, I = 100
36.39°, I = 22
42.45°, I = 58
44.17°, I = 19
53.07°, I = 39
65.22°, I = 16

Cell and atoms:
```
data_Te3MoWS
_cell_length_a 3.4521
_cell_length_b 3.4521
_cell_length_c 39.4480
_cell_angle_alpha 90.00
_cell_angle_beta 90.00
_cell_angle_gamma 120.00
_symmetry_space_group_name_H-M 'P 3 m 1'
_symmetry_Int_Tables_number 156
loop_
_symmetry_equiv_pos_as_xyz
'x,y,z'
'-y,x-y,z'
'-x+y,-x,z'
'-y,-x,z'
'-x+y,y,z'
'x,x-y,z'
loop_
_atom_site_label
_atom_site_fract_x
_atom_site_fract_y
_atom_site_fract_z
_atom_site_occupancy
Te1 0.0000 0.0000 0.0000 1
Te2 0.0000 0.0000 0.0939 1
Te3 0.0000 0.0000 0.3758 1
Te4 0.0000 0.0000 0.4697 1
Te5 0.6667 0.3333 0.1877 1
Te6 0.6667 0.3333 0.2821 1
Mo1 0.6667 0.3333 0.0469 1
Mo2 0.6667 0.3333 0.4227 1
W1 0.0000 0.0000 0.2348 1
W2 0.0000 0.0000 0.6106 1
S1 0.6667 0.3333 0.5728 1
S2 0.6667 0.3333 0.6484 1
```

---

Repeat the third record exactly.
This entry pairs a crystal structure of Te3MoWS with its simulated powder diffractogram. Radiation: λ = 1.5418 Å (Cu Kα). Structure: a cell relaxed with PBE.

Largest 12 diffraction maxima, by angle, 5 to 70 degrees two-theta:
6.72°, I = 22
11.22°, I = 95
13.47°, I = 13
29.91°, I = 57
32.01°, I = 15
33.94°, I = 12
35.10°, I = 100
36.39°, I = 22
42.45°, I = 58
44.17°, I = 19
53.07°, I = 39
65.22°, I = 16

Cell and atoms:
```
data_Te3MoWS
_cell_length_a 3.4521
_cell_length_b 3.4521
_cell_length_c 39.4480
_cell_angle_alpha 90.00
_cell_angle_beta 90.00
_cell_angle_gamma 120.00
_symmetry_space_group_name_H-M 'P 3 m 1'
_symmetry_Int_Tables_number 156
loop_
_symmetry_equiv_pos_as_xyz
'x,y,z'
'-y,x-y,z'
'-x+y,-x,z'
'-y,-x,z'
'-x+y,y,z'
'x,x-y,z'
loop_
_atom_site_label
_atom_site_fract_x
_atom_site_fract_y
_atom_site_fract_z
_atom_site_occupancy
Te1 0.0000 0.0000 0.0000 1
Te2 0.0000 0.0000 0.0939 1
Te3 0.0000 0.0000 0.3758 1
Te4 0.0000 0.0000 0.4697 1
Te5 0.6667 0.3333 0.1877 1
Te6 0.6667 0.3333 0.2821 1
Mo1 0.6667 0.3333 0.0469 1
Mo2 0.6667 0.3333 0.4227 1
W1 0.0000 0.0000 0.2348 1
W2 0.0000 0.0000 0.6106 1
S1 0.6667 0.3333 0.5728 1
S2 0.6667 0.3333 0.6484 1
```

---

Please write out number 2 again, unchanged.
This entry pairs a crystal structure of Cd4GeSe6 with its simulated powder diffractogram. Radiation: λ = 1.5418 Å (Cu Kα). Structure: a cell relaxed with PBE.

Largest 12 diffraction maxima, by angle, 5 to 70 degrees two-theta:
23.38°, I = 44
24.46°, I = 100
27.48°, I = 87
27.58°, I = 42
28.74°, I = 100
28.85°, I = 36
29.66°, I = 35
41.06°, I = 53
43.60°, I = 55
43.68°, I = 46
43.81°, I = 40
47.82°, I = 44

Cell and atoms:
```
data_Cd4GeSe6
_cell_length_a 13.165
_cell_length_b 7.613
_cell_length_c 13.187
_cell_angle_alpha 90.00
_cell_angle_beta 109.89
_cell_angle_gamma 90.00
_symmetry_space_group_name_H-M 'C 1 c 1'
_symmetry_Int_Tables_number 9
loop_
_symmetry_equiv_pos_as_xyz
'x,y,z'
'x,-y,z+1/2'
'x+1/2,y+1/2,z'
'x+1/2,-y+1/2,z+1/2'
loop_
_atom_site_label
_atom_site_fract_x
_atom_site_fract_y
_atom_site_fract_z
_atom_site_occupancy
Cd1 0.000 0.073 0.000 1
Cd2 0.157 0.394 0.495 1
Cd3 0.180 0.106 0.807 1
Cd4 0.365 0.205 0.157 1
Ge1 0.431 0.271 0.744 1
Se1 0.051 0.227 0.614 1
Se2 0.121 0.242 0.298 1
Se3 0.176 0.253 0.992 1
Se4 0.356 0.227 0.555 1
Se5 0.356 0.479 0.297 1
Se6 0.385 0.016 0.825 1
```